1.
PmAl3Pd2: calculated powder XRD pattern (Cu Kα (weighted mean of Kα1 and Kα2)), based on a crystal structure in Alexandria, relaxed with GGA-PBE.
No peak broadening, texture or thermal motion is included.

```
data_PmAl3Pd2
_chemical_formula_sum 'Pm4 Al12 Pd8'
_cell_length_a 10.005
_cell_length_b 8.176
_cell_length_c 5.484
_cell_angle_alpha 90.00
_cell_angle_beta 90.00
_cell_angle_gamma 90.00
_space_group_name_H-M_alt 'C m c m'
_space_group_IT_number 63
_space_group_name_Hall '-C 2c 2'
loop_
_atom_site_label
_atom_site_type_symbol
_atom_site_fract_x
_atom_site_fract_y
_atom_site_fract_z
Pm1 Pm 0.000 0.158 0.250
Al1 Al 0.000 0.452 0.750
Al2 Al 0.181 0.220 0.750
Pd1 Pd 0.212 0.500 0.000
```

Main lines, sorted by position (10 to 80 degrees two-theta):
hkl 1 1 1, 2θ = 21.44°, rel. 63
hkl 2 2 0, 2θ = 28.19°, rel. 75
hkl 3 1 0, 2θ = 28.91°, rel. 63
hkl 2 2 1, 2θ = 32.66°, rel. 70
hkl 3 1 1, 2θ = 33.30°, rel. 69
hkl 1 3 0, 2θ = 34.10°, rel. 59
hkl 2 0 2, 2θ = 37.40°, rel. 100
hkl 0 2 2, 2θ = 39.58°, rel. 72

---

2.
La3YSc4O12: calculated powder XRD pattern (Cu Kα (weighted mean of Kα1 and Kα2)), based on a crystal structure in Alexandria, relaxed with GGA-PBE.
No peak broadening, texture or thermal motion is included.

```
data_La3YSc4O12
_chemical_formula_sum 'La3 Y1 Sc4 O12'
_cell_length_a 5.645
_cell_length_b 8.113
_cell_length_c 5.824
_cell_angle_alpha 90.00
_cell_angle_beta 90.08
_cell_angle_gamma 90.00
_space_group_name_H-M_alt 'P 1 m 1'
_space_group_IT_number 6
loop_
_space_group_symop_operation_xyz
'x,y,z'
'x,-y,z'
loop_
_atom_site_label
_atom_site_type_symbol
_atom_site_fract_x
_atom_site_fract_y
_atom_site_fract_z
La1 La 0.000 0.000 0.000
La2 La 0.026 0.500 0.099
La3 La 0.500 0.500 0.593
Y1 Y 0.532 0.000 0.490
Sc1 Sc 0.013 0.246 0.549
Sc2 Sc 0.510 0.247 0.047
O1 O 0.141 0.000 0.586
O2 O 0.206 0.301 0.852
O3 O 0.307 0.306 0.345
O4 O 0.407 0.000 0.104
O5 O 0.613 0.500 0.010
O6 O 0.705 0.185 0.742
O7 O 0.804 0.190 0.256
O8 O 0.911 0.500 0.516
```

Main lines, sorted by position (10 to 80 degrees two-theta):
hkl 0 2 0, 2θ = 21.92°, rel. 35
hkl 0 0 2, 2θ = 30.70°, rel. 21
hkl 1 2 -1, 2θ = 31.19°, rel. 100
hkl 2 0 0, 2θ = 31.70°, rel. 23
hkl 0 4 0, 2θ = 44.70°, rel. 38
hkl 1 1 3, 2θ = 51.00°, rel. 17
hkl 3 2 -1, 2θ = 56.15°, rel. 24
hkl 2 4 2, 2θ = 65.06°, rel. 15

---

3.
BaH4O6: calculated powder XRD pattern (Cu Kα (weighted mean of Kα1 and Kα2)), based on a crystal structure in Alexandria, relaxed with GGA-PBE.
No peak broadening, texture or thermal motion is included.

```
data_BaH4O6
_chemical_formula_sum 'Ba4 H16 O24'
_cell_length_a 8.469
_cell_length_b 6.421
_cell_length_c 8.370
_cell_angle_alpha 90.00
_cell_angle_beta 96.82
_cell_angle_gamma 90.00
_space_group_name_H-M_alt 'C 1 2/c 1'
_space_group_IT_number 15
loop_
_space_group_symop_operation_xyz
'x,y,z'
'-x,-y,-z'
'-x,y,-z+1/2'
'x,-y,z+1/2'
'x+1/2,y+1/2,z'
'-x+1/2,-y+1/2,-z'
'-x+1/2,y+1/2,-z+1/2'
'x+1/2,-y+1/2,z+1/2'
loop_
_atom_site_label
_atom_site_type_symbol
_atom_site_fract_x
_atom_site_fract_y
_atom_site_fract_z
Ba1 Ba 0.000 0.211 0.250
H1 H 0.090 0.271 0.627
H2 H 0.202 0.474 0.956
O1 O 0.035 0.421 0.949
O2 O 0.173 0.159 0.677
O3 O 0.175 0.014 0.539
```

Main lines, sorted by position (10 to 80 degrees two-theta):
hkl 1 1 -1, 2θ = 19.75°, rel. 100
hkl 2 0 0, 2θ = 21.10°, rel. 98
hkl 0 0 2, 2θ = 21.38°, rel. 23
hkl 0 2 2, 2θ = 35.33°, rel. 48
hkl 3 1 -1, 2θ = 35.43°, rel. 32
hkl 1 1 -3, 2θ = 35.75°, rel. 44
hkl 3 1 1, 2θ = 37.76°, rel. 34
hkl 3 1 -3, 2θ = 45.43°, rel. 26

---

4.
Pm3Pt7Rh2: calculated powder XRD pattern (Cu Kα (weighted mean of Kα1 and Kα2)), based on a crystal structure in Alexandria, relaxed with GGA-PBE.
No peak broadening, texture or thermal motion is included.

```
data_Pm3Pt7Rh2
_chemical_formula_sum 'Pm9 Pt21 Rh6'
_cell_length_a 5.4352
_cell_length_b 5.4352
_cell_length_c 26.5901
_cell_angle_alpha 90.00
_cell_angle_beta 90.00
_cell_angle_gamma 120.00
_space_group_name_H-M_alt 'R -3 m'
_space_group_IT_number 166
_space_group_name_Hall '-R 3 2"'
loop_
_atom_site_label
_atom_site_type_symbol
_atom_site_fract_x
_atom_site_fract_y
_atom_site_fract_z
Pm1 Pm 0.0000 0.0000 0.0000
Pm2 Pm 0.0000 0.0000 0.1385
Pt1 Pt 0.0000 0.0000 0.5000
Pt2 Pt 0.0032 0.5016 0.9174
Rh1 Rh 0.0000 0.0000 0.3326
```

Main lines, sorted by position (10 to 80 degrees two-theta):
hkl 0 1 8, 2θ = 32.98°, rel. 35
hkl 0 2 1, 2θ = 38.40°, rel. 38
hkl 1 1 6, 2θ = 38.87°, rel. 100
hkl 0 0 12, 2θ = 40.70°, rel. 35
hkl 2 0 5, 2θ = 41.99°, rel. 58
hkl 0 2 7, 2θ = 45.33°, rel. 18
hkl 2 0 14, 2θ = 62.85°, rel. 33
hkl 2 2 0, 2θ = 69.13°, rel. 25